The following is a computed powder diffractogram of Ga2AuO4. It was derived from a PBE-relaxed structure, using Cu Kα (λ = 1.5418 Å).

Main lines, in order of falling intensity (2θ = 10–90°):
2theta, d/Å, I (rel.)
34.2, 2.620, 100
29.1, 3.072, 71
54.9, 1.672, 40
60.2, 1.536, 33
51.5, 1.774, 28
85.9, 1.131, 22

Cell lengths 6.144, 6.144, 6.144 Å; angles 60.00, 60.00, 60.00 degrees
Fractional coordinates of all 14 atoms:
1 Ga 0.000 0.000 0.000
2 Ga 0.000 0.000 0.500
3 Ga 0.000 0.500 0.000
4 Ga 0.500 0.000 0.000
5 Au 0.375 0.375 0.375
6 Au 0.625 0.625 0.625
7 O 0.192 0.769 0.769
8 O 0.231 0.231 0.231
9 O 0.231 0.231 0.808
10 O 0.231 0.808 0.231
11 O 0.769 0.192 0.769
12 O 0.769 0.769 0.192
13 O 0.769 0.769 0.769
14 O 0.808 0.231 0.231